Diffraction record for Tl3Cl. The XRD peak list is theoretical, not measured: it uses a PBE-relaxed structure and Cu Kα.

Cell and atoms:
Cell: 4.978 4.978 4.978 Å, 90.00 90.00 90.00°
Element x y z (fractional)
Tl 0.000 0.000 0.500
Tl 0.000 0.500 0.000
Tl 0.500 0.000 0.000
Cl 0.500 0.500 0.500

Top 10 peaks for 2θ from 10° to 80°, by intensity:
two_theta, Rel. int., h k l
31.12, 100, 1 1 1
36.09, 51, 2 0 0
61.82, 43, 3 1 1
51.96, 36, 2 2 0
17.82, 18, 1 0 0
25.30, 16, 1 1 0
64.89, 12, 2 2 2
40.52, 10, 2 1 0
44.59, 8, 2 1 1
76.56, 6, 4 0 0